Starting from a cell relaxed with GGA-PBE, the X-ray powder pattern of FeCoGe6 was calculated for Cu Ka.

Main lines, low angle first (10 to 90 degrees two-theta):
| d_spacing | Position (°2θ) | Rel. int. |
| --- | --- | --- |
| 4.726 | 18.78 | 12 |
| 3.492 | 25.51 | 15 |
| 2.808 | 31.87 | 71 |
| 2.802 | 31.93 | 35 |
| 2.018 | 44.92 | 35 |
| 2.012 | 45.07 | 69 |
| 1.956 | 46.42 | 100 |
| 1.638 | 56.16 | 13 |
| 1.401 | 66.76 | 11 |
| 1.151 | 84.11 | 16 |

Structural model:
```
FeCoGe6
1.0
4.027 0.000 0.000
-2.001 5.869 0.000
-1.993 -1.731 5.618
Fe Co Ge
1 1 6
direct
0.000 0.000 0.000 Fe
0.000 0.500 0.500 Co
0.005 0.253 0.752 Ge
0.334 0.748 0.918 Ge
0.335 0.242 0.424 Ge
0.665 0.758 0.576 Ge
0.666 0.252 0.082 Ge
0.995 0.747 0.248 Ge
```

=====

Starting from a cell relaxed with GGA-PBE, the X-ray powder pattern of Hf4ZnGe2 was calculated for Cu Ka.

Main lines, low angle first (10 to 90 degrees two-theta):
| d_spacing | Position (°2θ) | Rel. int. |
| --- | --- | --- |
| 3.328 | 26.79 | 34 |
| 2.885 | 30.99 | 15 |
| 2.588 | 34.67 | 51 |
| 2.573 | 34.87 | 100 |
| 2.183 | 41.36 | 33 |
| 2.177 | 41.49 | 69 |
| 1.662 | 55.26 | 22 |
| 1.602 | 57.54 | 14 |
| 1.599 | 57.65 | 13 |
| 1.596 | 57.78 | 20 |

Structural model:
```
Hf4ZnGe2
1.0
-4.067 4.067 4.094
4.067 -4.067 4.094
4.067 4.067 -4.094
Hf Zn Ge
8 2 4
direct
0.123 0.015 0.750 Hf
0.123 0.515 0.750 Hf
0.265 0.373 0.250 Hf
0.485 0.235 0.608 Hf
0.627 0.877 0.392 Hf
0.627 0.877 0.892 Hf
0.765 0.373 0.250 Hf
0.985 0.735 0.108 Hf
0.250 0.750 0.500 Zn
0.500 0.500 0.000 Zn
0.002 0.125 0.377 Ge
0.375 0.998 0.123 Ge
0.748 0.625 0.623 Ge
0.875 0.252 0.877 Ge
```

=====

Starting from a cell relaxed with GGA-PBE, the X-ray powder pattern of K4Pa3O10 was calculated for Cu Ka.

Main lines, low angle first (10 to 90 degrees two-theta):
| d_spacing | Position (°2θ) | Rel. int. |
| --- | --- | --- |
| 5.199 | 17.06 | 27 |
| 4.348 | 20.42 | 78 |
| 3.899 | 22.81 | 16 |
| 3.128 | 28.54 | 100 |
| 3.105 | 28.75 | 54 |
| 2.196 | 41.11 | 32 |
| 1.960 | 46.33 | 19 |
| 1.810 | 50.41 | 22 |
| 1.797 | 50.81 | 42 |
| 1.564 | 59.07 | 19 |

Structural model:
```
K4Pa3O10
1.0
-2.196 2.196 15.597
2.196 -2.196 15.597
2.196 2.196 -15.597
K Pa O
4 3 10
direct
0.070 0.070 0.000 K
0.209 0.209 0.000 K
0.791 0.791 0.000 K
0.930 0.930 0.000 K
0.360 0.360 0.000 Pa
0.500 0.500 0.000 Pa
0.640 0.640 0.000 Pa
0.000 0.500 0.500 O
0.138 0.638 0.500 O
0.295 0.295 0.000 O
0.362 0.862 0.500 O
0.431 0.431 0.000 O
0.500 0.000 0.500 O
0.569 0.569 0.000 O
0.638 0.138 0.500 O
0.705 0.705 0.000 O
0.862 0.362 0.500 O
```

=====

Starting from a cell relaxed with GGA-PBE, the X-ray powder pattern of Tm3Sc2Hg3 was calculated for Cu Ka.

Main lines, low angle first (10 to 90 degrees two-theta):
| d_spacing | Position (°2θ) | Rel. int. |
| --- | --- | --- |
| 2.660 | 33.69 | 26 |
| 2.594 | 34.57 | 100 |
| 2.559 | 35.07 | 24 |
| 1.844 | 49.42 | 18 |
| 1.825 | 49.98 | 9 |
| 1.523 | 60.82 | 18 |
| 1.505 | 61.64 | 9 |
| 1.486 | 62.52 | 9 |
| 1.484 | 62.59 | 18 |
| 1.297 | 72.93 | 11 |

Structural model:
```
Tm3Sc2Hg3
1.0
3.649 0.000 0.000
0.000 5.118 0.000
0.000 0.000 21.284
Tm Sc Hg
6 4 6
direct
0.000 0.000 0.000 Tm
0.000 0.500 0.125 Tm
0.000 0.500 0.875 Tm
0.500 0.000 0.375 Tm
0.500 0.000 0.625 Tm
0.500 0.500 0.500 Tm
0.000 0.000 0.235 Sc
0.000 0.000 0.765 Sc
0.500 0.500 0.265 Sc
0.500 0.500 0.735 Sc
0.000 0.000 0.500 Hg
0.000 0.500 0.375 Hg
0.000 0.500 0.625 Hg
0.500 0.000 0.125 Hg
0.500 0.000 0.875 Hg
0.500 0.500 0.000 Hg
```

=====

Starting from a cell relaxed with GGA-PBE, the X-ray powder pattern of Pa4ZnO10 was calculated for Cu Ka.

Main lines, low angle first (10 to 90 degrees two-theta):
| d_spacing | Position (°2θ) | Rel. int. |
| --- | --- | --- |
| 4.559 | 19.47 | 7 |
| 3.116 | 28.65 | 100 |
| 2.699 | 33.20 | 35 |
| 1.908 | 47.66 | 50 |
| 1.627 | 56.55 | 46 |
| 1.558 | 59.31 | 10 |
| 1.350 | 69.65 | 5 |
| 1.238 | 77.01 | 19 |
| 1.207 | 79.37 | 9 |
| 1.102 | 88.81 | 17 |

Structural model:
```
Pa4ZnO10
1.0
-4.269 4.269 2.696
4.269 -4.269 2.696
4.269 4.269 -2.696
Pa Zn O
4 1 10
direct
0.102 0.704 0.806 Pa
0.296 0.102 0.398 Pa
0.704 0.898 0.602 Pa
0.898 0.296 0.194 Pa
0.500 0.500 0.000 Zn
0.043 0.347 0.898 O
0.146 0.043 0.696 O
0.250 0.750 0.500 O
0.347 0.450 0.304 O
0.450 0.146 0.102 O
0.550 0.854 0.898 O
0.653 0.550 0.696 O
0.750 0.250 0.500 O
0.854 0.957 0.304 O
0.957 0.653 0.102 O
```